# Co2W11
Theoretical X-ray diffraction stick pattern, Cu Ka. Input: a cell relaxed with PBE.
Neutral-atom scattering factors, no anomalous dispersion.

Main lines, in order of falling intensity (2θ from 10° to 80°):
(hkl)  d (Å)  I/Imax
1 1 6  2.243  100
2 0 5  2.067  48
0 0 12  2.268  33
0 1 11  2.165  32
0 2 1  2.227  28
2 2 0  1.290  27
0 3 6  1.415  24
1 1 0  2.580  23
1 0 1  4.409  23
0 2 4  2.123  21
0 2 7  1.937  21
2 0 17  1.301  20

Cell and atoms:
```
data_Co2W11
_chemical_formula_sum 'Co6 W33'
_cell_length_a 5.1595
_cell_length_b 5.1595
_cell_length_c 27.2202
_cell_angle_alpha 90.00
_cell_angle_beta 90.00
_cell_angle_gamma 120.00
_space_group_name_H-M_alt 'R -3 m'
_space_group_IT_number 166
_space_group_name_Hall '-R 3 2"'
loop_
_atom_site_label
_atom_site_fract_x
_atom_site_fract_y
_atom_site_fract_z
_atom_site_occupancy
Co1 0.0000 0.0000 0.0467 1
W1 0.0000 0.0000 0.1522 1
W2 0.0000 0.0000 0.3327 1
W3 0.0000 0.0000 0.5000 1
W4 0.0022 0.5011 0.9139 1
```

***

# Sc2CuAgSn2
Theoretical X-ray diffraction stick pattern, Cu Ka. Input: a cell relaxed with PBE.
Neutral-atom scattering factors, no anomalous dispersion.

Main lines, in order of falling intensity (2θ from 10° to 80°):
(hkl)  d (Å)  I/Imax
1 1 0  2.263  100
0 1 2  2.602  82
1 0 3  1.996  44
0 1 1  3.415  35
1 1 2  1.897  31
0 0 2  3.478  27
1 0 0  3.920  26
2 0 2  1.708  22
1 2 2  1.363  21
2 1 3  1.248  19
0 2 3  1.497  17
1 0 5  1.311  17

Cell and atoms:
```
data_Sc2CuAgSn2
_chemical_formula_sum 'Sc2 Cu1 Ag1 Sn2'
_cell_length_a 4.5264
_cell_length_b 4.5264
_cell_length_c 6.9561
_cell_angle_alpha 90.00
_cell_angle_beta 90.00
_cell_angle_gamma 120.00
_space_group_name_H-M_alt 'P 3 m 1'
_space_group_IT_number 156
loop_
_space_group_symop_operation_xyz
'x,y,z'
'-y,x-y,z'
'-x+y,-x,z'
'-y,-x,z'
'-x+y,y,z'
'x,x-y,z'
loop_
_atom_site_label
_atom_site_fract_x
_atom_site_fract_y
_atom_site_fract_z
_atom_site_occupancy
Sc1 0.0000 0.0000 0.0000 1
Sc2 0.0000 0.0000 0.4907 1
Cu1 0.3333 0.6667 0.3192 1
Ag1 0.6667 0.3333 0.8176 1
Sn1 0.3333 0.6667 0.7110 1
Sn2 0.6667 0.3333 0.2313 1
```

***

# CsZr3
Theoretical X-ray diffraction stick pattern, Cu Ka. Input: a cell relaxed with PBE.
Neutral-atom scattering factors, no anomalous dispersion.

Main lines, in order of falling intensity (2θ from 10° to 80°):
(hkl)  d (Å)  I/Imax
1 2 1  2.595  100
0 2 1  3.026  85
1 1 1  3.624  78
1 0 2  3.330  75
2 0 0  2.523  69
0 1 2  3.650  69
1 0 4  2.029  61
2 2 1  1.937  54
1 2 3  1.999  54
1 1 2  2.957  51
4 0 0  1.261  32
0 1 3  2.685  31

Cell and atoms:
```
data_CsZr3
_chemical_formula_sum 'Cs2 Zr6'
_cell_length_a 5.046
_cell_length_b 6.438
_cell_length_c 8.862
_cell_angle_alpha 90.00
_cell_angle_beta 90.00
_cell_angle_gamma 90.00
_space_group_name_H-M_alt 'P m m n'
_space_group_IT_number 59
loop_
_space_group_symop_operation_xyz
'x,y,z'
'-x,-y,-z'
'-x+1/2,-y+1/2,z'
'x+1/2,y+1/2,-z'
'x+1/2,-y,-z'
'-x+1/2,y,z'
'-x,y+1/2,-z'
'x,-y+1/2,z'
loop_
_atom_site_label
_atom_site_fract_x
_atom_site_fract_y
_atom_site_fract_z
_atom_site_occupancy
Cs1 0.250 0.250 0.087 1
Zr1 0.250 0.006 0.571 1
Zr2 0.250 0.750 0.300 1
```

***

# Ag3I4
Theoretical X-ray diffraction stick pattern, Cu Ka. Input: a cell relaxed with PBE.
Neutral-atom scattering factors, no anomalous dispersion.

Main lines, in order of falling intensity (2θ from 10° to 80°):
(hkl)  d (Å)  I/Imax
1 1 2  3.670  100
2 2 0  2.248  73
3 1 2  1.917  45
4 2 4  1.298  21
3 3 2  1.458  17
1 5 2  1.223  12
4 0 0  1.589  11
1 2 1  2.774  8
1 0 3  3.527  5
1 0 5  2.361  5
1 0 1  5.685  4
2 0 2  2.843  4

Cell and atoms:
```
data_Ag3I4
_chemical_formula_sum 'Ag6 I8'
_cell_length_a 6.356
_cell_length_b 6.356
_cell_length_c 12.721
_cell_angle_alpha 90.00
_cell_angle_beta 90.00
_cell_angle_gamma 90.00
_space_group_name_H-M_alt 'I -4'
_space_group_IT_number 82
loop_
_space_group_symop_operation_xyz
'x,y,z'
'y,-x,-z'
'-x,-y,z'
'-y,x,-z'
'x+1/2,y+1/2,z+1/2'
'y+1/2,-x+1/2,-z+1/2'
'-x+1/2,-y+1/2,z+1/2'
'-y+1/2,x+1/2,-z+1/2'
loop_
_atom_site_label
_atom_site_fract_x
_atom_site_fract_y
_atom_site_fract_z
_atom_site_occupancy
Ag1 0.000 0.000 0.000 1
Ag2 0.000 0.000 0.500 1
Ag3 0.000 0.500 0.250 1
I1 0.232 0.266 0.866 1
```